For TiMnPb2O6, the GGA+U geometry in Alexandria gives the simulated powder diffractogram in this record (Cu Kα X-rays).
Neutral-atom scattering factors, no anomalous dispersion.

Largest 10 diffraction maxima, by angle, 10 to 90 degrees two-theta:
- 22.10°, I = 195
- 22.70°, I = 345
- 31.89°, I = 1000
- 32.32°, I = 480
- 39.50°, I = 387
- 45.07°, I = 138
- 46.36°, I = 281
- 56.55°, I = 205
- 57.37°, I = 388
- 66.65°, I = 165

Structural model:
Lattice parameters (Å, degrees): 5.6149 5.6149 5.6149 120.88 120.88 88.48
Fractional positions:
Ti1 0.0000 0.0000 0.0000
Mn1 0.4904 0.4904 0.0000
Pb1 0.2583 0.7583 0.5000
Pb2 0.7583 0.2583 0.5000
O1 0.2251 0.2251 0.5039
O2 0.2251 0.7212 0.0000
O3 0.2293 0.2293 0.0000
O4 0.7212 0.2251 0.0000
O5 0.7205 0.7205 0.0000
O6 0.7212 0.7212 0.4961